Starting from a cell relaxed with PBE+U, the powder diffraction line list of CrGaF3 was calculated for copper Kα.
Intensities are scaled so that the largest is 1000.

The 6 most intense peaks (15° ≤ 2θ ≤ 90°), in order of rising 2θ:
- 3.596 Å, 24.76°, rel. 863
- 3.444 Å, 25.87°, rel. 780
- 3.421 Å, 26.05°, rel. 800
- 3.248 Å, 27.46°, rel. 613
- 3.105 Å, 28.75°, rel. 463
- 2.959 Å, 30.21°, rel. 1000

Atomic structure:
Unit cell a=5.391 b=5.414 c=7.347 alpha=93.00 beta=109.36 gamma=113.52
Space group P-1 (No. 2)
Asymmetric unit:
1 Cr 0.171 0.328 0.499 x2
2 Ga 0.288 0.886 0.145 x2
3 F 0.040 0.585 0.338 x2
4 F 0.287 0.080 0.670 x2
5 F 0.375 0.262 0.327 x2